# 1
Computed X-ray powder pattern
Compound: Cr2P2O9
Radiation: Cu Kα (λ = 1.5418 Å)
Structure: a structure optimized by DFT (GGA+U)
Kinematic intensities with the Lorentz-polarization factor, no thermal factor.

The 10 most intense peaks (10° ≤ 2θ ≤ 90°), in order of rising 2θ:
d 6.889, I = 984, (0 0 2); d 5.151, I = 914, (1 0 2); d 4.916, I = 387, (1 1 0); d 4.630, I = 898, (1 1 1); d 4.001, I = 532, (1 1 2); d 3.733, I = 1000, (2 0 1); d 3.148, I = 290, (1 0 4); d 2.963, I = 402, (2 0 -3); d 2.875, I = 716, (1 2 1); d 1.621, I = 294, (3 2 5)

Crystal structure
Unit cell a=7.7563 b=6.3547 c=13.7781 alpha=90.00 beta=90.04 gamma=90.00
Space group P2_1/m (No. 11)
Asymmetric unit:
Cr  0.0000  0.0000  0.0000 x2
Cr  0.1511  0.2500  0.3817 x2
Cr  0.3486  0.2500  0.8817 x2
Cr  0.5000  0.0000  0.5000 x2
P  0.1066  0.2500  0.1922 x2
P  0.1523  0.7500  0.4379 x2
P  0.3476  0.7500  0.9379 x2
P  0.3934  0.2500  0.6922 x2
O  0.0155  0.7500  0.5189 x2
O  0.0302  0.7500  0.7250 x2
O  0.0949  0.0504  0.1290 x4
O  0.1390  0.5540  0.3752 x4
O  0.1454  0.2500  0.9516 x2
O  0.1617  0.7500  0.9860 x2
O  0.2263  0.2500  0.7558 x2
O  0.2739  0.2500  0.2561 x2
O  0.3383  0.7500  0.4860 x2
O  0.3546  0.2500  0.4517 x2
O  0.3607  0.5541  0.8752 x4
O  0.4052  0.0504  0.6290 x4
O  0.4698  0.7500  0.2249 x2
O  0.4846  0.7500  0.0188 x2

---

# 2
Computed X-ray powder pattern
Compound: MgV3CoSn2P6O24
Radiation: Cu Kα (λ = 1.5418 Å)
Structure: a structure optimized by DFT (GGA+U)
Kinematic intensities with the Lorentz-polarization factor, no thermal factor.

The 10 most intense peaks (10° ≤ 2θ ≤ 90°), in order of rising 2θ:
d 4.359, I = 1000, (1 -2 0); d 3.810, I = 566, (1 -2 1); d 3.593, I = 179, (2 -2 0); d 3.064, I = 215, (0 1 2); d 2.914, I = 419, (2 -1 1); d 2.905, I = 208, (1 1 -3); d 2.773, I = 165, (1 -3 1); d 2.516, I = 410, (0 3 -1); d 2.178, I = 124, (3 -2 1); d 1.648, I = 220, (-4 5 1)

Crystal structure
Unit cell a=8.7104 b=8.7186 c=9.2827 alpha=90.05 beta=117.77 gamma=119.94
Space group P1 (No. 1)
Asymmetric unit:
Mg  0.0000  0.0000  0.0000 x1
V  0.2229  0.1122  0.3398 x1
V  0.7626  0.8860  0.6552 x1
V  0.8143  0.4122  0.2271 x1
Co  0.1886  0.5927  0.7857 x1
Sn  0.4604  0.7341  0.1918 x1
Sn  0.5344  0.2720  0.8031 x1
P  0.0074  0.7938  0.5096 x1
P  0.2905  0.5036  0.5058 x1
P  0.2986  0.2960  0.0059 x1
P  0.7085  0.0073  0.0032 x1
P  0.7117  0.2155  0.5061 x1
P  0.9973  0.7046  0.0073 x1
O  0.0796  0.4587  0.3392 x1
O  0.1029  0.1233  0.8481 x1
O  0.1197  0.8750  0.1626 x1
O  0.1286  0.9813  0.4809 x1
O  0.1543  0.6856  0.9882 x1
O  0.1643  0.7752  0.6592 x1
O  0.2853  0.2443  0.1616 x1
O  0.2846  0.5072  0.6661 x1
O  0.2989  0.4721  0.9904 x1
O  0.3254  0.3550  0.4725 x1
O  0.4627  0.6925  0.5119 x1
O  0.4997  0.1555  0.4811 x1
O  0.5029  0.3296  0.0275 x1
O  0.5148  0.8319  0.9854 x1
O  0.6979  0.1785  0.0246 x1
O  0.7035  0.2560  0.3351 x1
O  0.7278  0.9854  0.8461 x1
O  0.7308  0.0484  0.5122 x1
O  0.8384  0.7845  0.5322 x1
O  0.8494  0.5235  0.0313 x1
O  0.8601  0.7419  0.8504 x1
O  0.8755  0.6323  0.3359 x1
O  0.8861  0.3840  0.6622 x1
O  0.9126  0.0417  0.1587 x1

---

# 3
Computed X-ray powder pattern
Compound: MgFeP2O7
Radiation: Cu Kα (λ = 1.5418 Å)
Structure: a structure optimized by DFT (GGA+U)
Kinematic intensities with the Lorentz-polarization factor, no thermal factor.

The 10 most intense peaks (10° ≤ 2θ ≤ 90°), in order of rising 2θ:
d 5.431, I = 504, (0 1 0); d 5.226, I = 292, (0 0 1); d 4.303, I = 1000, (0 1 1); d 3.649, I = 633, (1 1 0); d 3.542, I = 264, (1 -1 0); d 3.076, I = 389, (1 -1 1); d 3.054, I = 313, (1 0 -1); d 2.715, I = 327, (1 0 2); d 2.208, I = 165, (0 2 -1); d 2.173, I = 165, (2 0 2)

Crystal structure
Unit cell a=5.1351 b=5.6271 c=5.7553 alpha=74.93 beta=69.08 gamma=83.11
Space group P1 (No. 1)
Asymmetric unit:
Mg  0.0000  0.0000  0.0000 x1
Fe  0.8210  0.8481  0.5993 x1
P  0.3093  0.4963  0.8035 x1
P  0.4537  0.0966  0.1548 x1
O  0.0986  0.7159  0.8432 x1
O  0.1815  0.9514  0.2764 x1
O  0.1816  0.2938  0.7540 x1
O  0.3569  0.3826  0.0825 x1
O  0.5964  0.5776  0.6167 x1
O  0.6389  0.0192  0.9064 x1
O  0.6416  0.0761  0.3126 x1

---

# 4
Computed X-ray powder pattern
Compound: Ba2MnNbO6
Radiation: Cu Kα (λ = 1.5418 Å)
Structure: a structure optimized by DFT (GGA+U)
Kinematic intensities with the Lorentz-polarization factor, no thermal factor.

The 10 most intense peaks (10° ≤ 2θ ≤ 90°), in order of rising 2θ:
d 2.952, I = 264, (1 1 -1); d 2.942, I = 260, (-1 1 5); d 2.899, I = 1000, (2 -1 0); d 2.382, I = 126, (0 0 8); d 2.084, I = 332, (0 2 4); d 2.018, I = 153, (2 -2 6); d 1.694, I = 199, (2 1 4); d 1.691, I = 150, (0 1 10); d 1.666, I = 146, (3 -1 5); d 1.451, I = 96, (2 0 10)

Crystal structure
Unit cell a=5.7970 b=5.7975 c=19.2996 alpha=97.38 beta=91.56 gamma=118.77
Space group P-1 (No. 2)
Asymmetric unit:
Ba  0.0553  0.1176  0.1873 x2
Ba  0.1811  0.3685  0.5626 x2
Ba  0.3186  0.6305  0.9374 x2
Ba  0.4438  0.8808  0.3127 x2
Mn  0.0000  0.0000  0.0000 x1
Mn  0.2504  0.5007  0.7501 x2
Mn  0.5000  0.0000  0.5000 x1
Nb  0.1361  0.2608  0.3751 x2
Nb  0.3638  0.7394  0.1251 x2
O  0.0336  0.0846  0.6855 x2
O  0.0384  0.6059  0.1864 x2
O  0.0481  0.6064  0.6879 x2
O  0.1488  0.8479  0.5645 x2
O  0.1680  0.8594  0.0619 x2
O  0.1687  0.3522  0.0637 x2
O  0.3312  0.6480  0.4363 x2
O  0.3321  0.1402  0.4381 x2
O  0.3512  0.1519  0.9355 x2
O  0.4521  0.3938  0.8122 x2
O  0.4617  0.3933  0.3136 x2
O  0.4667  0.9159  0.8146 x2

---

Please write out number 3 again, unchanged.
Computed X-ray powder pattern
Compound: MgFeP2O7
Radiation: Cu Kα (λ = 1.5418 Å)
Structure: a structure optimized by DFT (GGA+U)
Kinematic intensities with the Lorentz-polarization factor, no thermal factor.

The 10 most intense peaks (10° ≤ 2θ ≤ 90°), in order of rising 2θ:
d 5.431, I = 504, (0 1 0); d 5.226, I = 292, (0 0 1); d 4.303, I = 1000, (0 1 1); d 3.649, I = 633, (1 1 0); d 3.542, I = 264, (1 -1 0); d 3.076, I = 389, (1 -1 1); d 3.054, I = 313, (1 0 -1); d 2.715, I = 327, (1 0 2); d 2.208, I = 165, (0 2 -1); d 2.173, I = 165, (2 0 2)

Crystal structure
Unit cell a=5.1351 b=5.6271 c=5.7553 alpha=74.93 beta=69.08 gamma=83.11
Space group P1 (No. 1)
Asymmetric unit:
Mg  0.0000  0.0000  0.0000 x1
Fe  0.8210  0.8481  0.5993 x1
P  0.3093  0.4963  0.8035 x1
P  0.4537  0.0966  0.1548 x1
O  0.0986  0.7159  0.8432 x1
O  0.1815  0.9514  0.2764 x1
O  0.1816  0.2938  0.7540 x1
O  0.3569  0.3826  0.0825 x1
O  0.5964  0.5776  0.6167 x1
O  0.6389  0.0192  0.9064 x1
O  0.6416  0.0761  0.3126 x1

---

What did the second record say?
Computed X-ray powder pattern
Compound: MgV3CoSn2P6O24
Radiation: Cu Kα (λ = 1.5418 Å)
Structure: a structure optimized by DFT (GGA+U)
Kinematic intensities with the Lorentz-polarization factor, no thermal factor.

The 10 most intense peaks (10° ≤ 2θ ≤ 90°), in order of rising 2θ:
d 4.359, I = 1000, (1 -2 0); d 3.810, I = 566, (1 -2 1); d 3.593, I = 179, (2 -2 0); d 3.064, I = 215, (0 1 2); d 2.914, I = 419, (2 -1 1); d 2.905, I = 208, (1 1 -3); d 2.773, I = 165, (1 -3 1); d 2.516, I = 410, (0 3 -1); d 2.178, I = 124, (3 -2 1); d 1.648, I = 220, (-4 5 1)

Crystal structure
Unit cell a=8.7104 b=8.7186 c=9.2827 alpha=90.05 beta=117.77 gamma=119.94
Space group P1 (No. 1)
Asymmetric unit:
Mg  0.0000  0.0000  0.0000 x1
V  0.2229  0.1122  0.3398 x1
V  0.7626  0.8860  0.6552 x1
V  0.8143  0.4122  0.2271 x1
Co  0.1886  0.5927  0.7857 x1
Sn  0.4604  0.7341  0.1918 x1
Sn  0.5344  0.2720  0.8031 x1
P  0.0074  0.7938  0.5096 x1
P  0.2905  0.5036  0.5058 x1
P  0.2986  0.2960  0.0059 x1
P  0.7085  0.0073  0.0032 x1
P  0.7117  0.2155  0.5061 x1
P  0.9973  0.7046  0.0073 x1
O  0.0796  0.4587  0.3392 x1
O  0.1029  0.1233  0.8481 x1
O  0.1197  0.8750  0.1626 x1
O  0.1286  0.9813  0.4809 x1
O  0.1543  0.6856  0.9882 x1
O  0.1643  0.7752  0.6592 x1
O  0.2853  0.2443  0.1616 x1
O  0.2846  0.5072  0.6661 x1
O  0.2989  0.4721  0.9904 x1
O  0.3254  0.3550  0.4725 x1
O  0.4627  0.6925  0.5119 x1
O  0.4997  0.1555  0.4811 x1
O  0.5029  0.3296  0.0275 x1
O  0.5148  0.8319  0.9854 x1
O  0.6979  0.1785  0.0246 x1
O  0.7035  0.2560  0.3351 x1
O  0.7278  0.9854  0.8461 x1
O  0.7308  0.0484  0.5122 x1
O  0.8384  0.7845  0.5322 x1
O  0.8494  0.5235  0.0313 x1
O  0.8601  0.7419  0.8504 x1
O  0.8755  0.6323  0.3359 x1
O  0.8861  0.3840  0.6622 x1
O  0.9126  0.0417  0.1587 x1